# BaV2AuSe
Simulated X-ray powder pattern, Cu Kα, 1.54184 Å. Input: a crystal structure in Alexandria, relaxed with GGA-PBE.

Largest 10 diffraction maxima, in order of rising 2θ, 2θ from 15° to 90°:
2theta, I/Imax, (hkl)
23.12, 32, 1 0 1
26.23, 52, 1 1 0
27.78, 63, 0 0 2
29.75, 100, 1 1 1
37.44, 57, 2 0 0
38.58, 39, 1 1 2
47.25, 58, 2 0 2
50.38, 23, 1 1 3
61.78, 26, 2 2 2
62.86, 23, 3 1 1

Cell and atoms:
```
BaV2AuSe
1.0
4.804 0.000 0.000
0.000 4.804 0.000
0.000 0.000 6.423
Ba V Au Se
1 2 1 1
Cartesian
0.000 0.000 0.000
0.000 2.402 3.212
2.402 0.000 3.212
2.402 2.402 0.000
0.000 0.000 3.212
```